Starting from a structure optimized by DFT (GGA-PBE), the X-ray powder pattern of Tb5Ho2Tm2 was calculated for copper Kα.
Peak positions follow from Bragg's law for the DFT cell and can differ from measured ones.

Cell: 10.234 10.234 10.234 Å, 86.58 103.61 145.52°
Positions (direct):
Tb1 0.145 0.476 0.955
Tb2 0.145 0.689 0.169
Tb3 0.200 0.048 0.248
Tb4 0.200 0.452 0.652
Tb5 0.520 0.189 0.045
Tb6 0.520 0.976 0.831
Tb7 0.567 0.499 0.568
Tb8 0.800 0.548 0.348
Tb9 0.800 0.952 0.752
Tb10 0.931 0.999 0.432
Ho1 0.232 0.034 0.698
Ho2 0.336 0.534 0.302
Ho3 0.404 0.404 0.000
Ho4 0.404 0.904 0.500
Tm1 0.794 0.206 0.317
Tm2 0.794 0.977 0.088
Tm3 0.890 0.477 0.683
Tm4 0.890 0.706 0.912

Peak list (12 most intense, 15° ≤ 2θ ≤ 90°, by angle)
d (Å), Position (°2θ), I/Imax
3.141, 28.4, 24
3.079, 29.0, 29
3.033, 29.4, 26
2.899, 30.8, 60
2.809, 31.9, 29
2.757, 32.5, 78
2.536, 35.4, 100
2.443, 36.8, 11
1.694, 54.1, 13
1.546, 59.8, 14
1.479, 62.8, 13
1.426, 65.5, 15